Entry 1:
The following is a theoretical powder X-ray diffraction pattern of AlOsBr7. It was derived from a DFT-relaxed cell (PBE, OQMD), using Cu Ka.
Peak positions follow from Bragg's law for the DFT cell and can differ from measured ones.

Structure:
a = 7.018 Å, b = 6.253 Å, c = 15.039 Å
α = 90.00°, β = 99.42°, γ = 90.00°
Sites, in units of the cell vectors:
Al 0.000 0.011 0.000
Al 0.000 0.989 0.500
Os 0.234 0.420 0.130
Os 0.234 0.580 0.630
Br 0.005 0.367 0.500
Br 0.005 0.633 0.000
Br 0.130 0.356 0.743
Br 0.130 0.644 0.243
Br 0.306 0.169 0.998
Br 0.306 0.831 0.498
Br 0.426 0.191 0.238
Br 0.426 0.809 0.738
Br 0.506 0.358 0.610
Br 0.506 0.642 0.110
Br 0.780 0.109 0.879
Br 0.780 0.891 0.379
Br 0.934 0.169 0.135
Br 0.934 0.831 0.635

The 10 most intense peaks (10° ≤ 2θ ≤ 80°), low angle first:
11.9 deg, rel. 100
12.8 deg, rel. 72
16.0 deg, rel. 63
18.6 deg, rel. 53
19.1 deg, rel. 44
27.8 deg, rel. 45
29.2 deg, rel. 40
29.2 deg, rel. 45
34.0 deg, rel. 33
38.6 deg, rel. 32

---

Entry 2:
The following is a theoretical powder X-ray diffraction pattern of Tl3NiS. It was derived from a DFT-relaxed cell (PBE, OQMD), using Cu Ka.
Peak positions follow from Bragg's law for the DFT cell and can differ from measured ones.

Structure:
a = 6.464 Å, b = 6.464 Å, c = 6.913 Å
α = 90.00°, β = 90.00°, γ = 120.00°
Sites, in units of the cell vectors:
Tl 0.036 0.344 0.250
Tl 0.036 0.692 0.750
Tl 0.308 0.344 0.750
Tl 0.308 0.964 0.250
Tl 0.656 0.692 0.250
Tl 0.656 0.964 0.750
Ni 0.000 0.000 0.000
Ni 0.000 0.000 0.500
S 0.667 0.333 0.000
S 0.667 0.333 0.500

The 10 most intense peaks (10° ≤ 2θ ≤ 80°), low angle first:
25.8 deg, rel. 26
27.6 deg, rel. 9
30.5 deg, rel. 100
38.1 deg, rel. 34
48.5 deg, rel. 28
48.8 deg, rel. 22
56.0 deg, rel. 14
58.7 deg, rel. 13
74.9 deg, rel. 12
79.7 deg, rel. 10

---

Entry 3:
The following is a theoretical powder X-ray diffraction pattern of SmSbN2O. It was derived from a DFT-relaxed cell (PBE, OQMD), using Cu Ka.
Peak positions follow from Bragg's law for the DFT cell and can differ from measured ones.

Structure:
a = 7.923 Å, b = 8.110 Å, c = 8.120 Å
α = 90.07°, β = 90.01°, γ = 91.36°
Sites, in units of the cell vectors:
Sm 0.017 0.457 0.252
Sm 0.038 0.984 0.248
Sm 0.472 0.518 0.747
Sm 0.480 0.029 0.754
Sm 0.520 0.971 0.246
Sm 0.528 0.482 0.253
Sm 0.962 0.016 0.752
Sm 0.983 0.543 0.748
Sb 0.243 0.255 0.986
Sb 0.247 0.738 0.009
Sb 0.248 0.239 0.508
Sb 0.252 0.756 0.492
Sb 0.748 0.244 0.508
Sb 0.752 0.761 0.492
Sb 0.753 0.262 0.991
Sb 0.757 0.745 0.014
N 0.002 0.790 0.561
N 0.003 0.801 0.943
N 0.183 0.705 0.252
N 0.206 0.499 0.936
N 0.215 0.172 0.749
N 0.301 0.001 0.442
N 0.499 0.286 0.945
N 0.499 0.307 0.544
N 0.501 0.693 0.456
N 0.501 0.714 0.055
N 0.699 0.999 0.558
N 0.785 0.828 0.251
N 0.794 0.501 0.064
N 0.817 0.295 0.748
N 0.997 0.199 0.057
N 0.998 0.210 0.439
O 0.205 0.499 0.554
O 0.284 0.309 0.248
O 0.295 0.000 0.051
O 0.316 0.780 0.751
O 0.684 0.220 0.249
O 0.705 0.000 0.949
O 0.716 0.691 0.752
O 0.795 0.501 0.446

The 10 most intense peaks (10° ≤ 2θ ≤ 80°), low angle first:
31.2 deg, rel. 100
31.6 deg, rel. 69
32.0 deg, rel. 33
44.7 deg, rel. 31
45.8 deg, rel. 13
55.5 deg, rel. 13
56.0 deg, rel. 24
56.2 deg, rel. 14
57.0 deg, rel. 14
65.0 deg, rel. 10

---

Entry 4:
The following is a theoretical powder X-ray diffraction pattern of GdTmFe2Ge2C. It was derived from a DFT-relaxed cell (PBE, OQMD), using Cu Ka.
Peak positions follow from Bragg's law for the DFT cell and can differ from measured ones.

Structure:
a = 5.693 Å, b = 5.693 Å, c = 6.803 Å
α = 125.90°, β = 125.90°, γ = 40.71°
Sites, in units of the cell vectors:
Gd 0.000 0.000 0.000
Tm 0.115 0.115 0.578
Fe 0.364 0.364 0.203
Fe 0.755 0.755 0.382
Ge 0.396 0.396 0.581
Ge 0.721 0.721 0.000
C 0.561 0.561 0.297

The 10 most intense peaks (10° ≤ 2θ ≤ 80°), low angle first:
24.9 deg, rel. 39
33.8 deg, rel. 86
34.0 deg, rel. 63
35.1 deg, rel. 47
36.3 deg, rel. 100
36.6 deg, rel. 50
39.6 deg, rel. 62
41.4 deg, rel. 39
45.8 deg, rel. 48
65.7 deg, rel. 28

---

Entry 5:
The following is a theoretical powder X-ray diffraction pattern of Nd2ZrP2IrO2. It was derived from a DFT-relaxed cell (PBE, OQMD), using Cu Ka.
Peak positions follow from Bragg's law for the DFT cell and can differ from measured ones.

Structure:
a = 4.064 Å, b = 4.064 Å, c = 8.730 Å
α = 90.00°, β = 90.00°, γ = 90.00°
Sites, in units of the cell vectors:
Nd 0.000 0.500 0.134
Nd 0.500 0.000 0.866
Zr 0.500 0.500 0.500
P 0.000 0.500 0.675
P 0.500 0.000 0.325
Ir 0.000 0.000 0.500
O 0.000 0.000 0.000
O 0.500 0.500 0.000

The 10 most intense peaks (10° ≤ 2θ ≤ 80°), low angle first:
20.3 deg, rel. 30
24.2 deg, rel. 43
30.0 deg, rel. 91
30.7 deg, rel. 31
32.8 deg, rel. 100
37.5 deg, rel. 60
44.6 deg, rel. 55
52.7 deg, rel. 57
54.7 deg, rel. 33
55.1 deg, rel. 25

---

Entry 6:
The following is a theoretical powder X-ray diffraction pattern of Zr2In5Ni. It was derived from a DFT-relaxed cell (PBE, OQMD), using Cu Ka.
Peak positions follow from Bragg's law for the DFT cell and can differ from measured ones.

Structure:
a = 10.147 Å, b = 10.147 Å, c = 7.090 Å
α = 90.00°, β = 90.00°, γ = 90.00°
Sites, in units of the cell vectors:
Zr 0.160 0.160 0.000
Zr 0.203 0.203 0.500
Zr 0.297 0.703 0.000
Zr 0.340 0.660 0.500
Zr 0.660 0.340 0.500
Zr 0.703 0.297 0.000
Zr 0.797 0.797 0.500
Zr 0.840 0.840 0.000
In 0.000 0.000 0.299
In 0.000 0.000 0.701
In 0.058 0.701 0.277
In 0.058 0.701 0.723
In 0.201 0.442 0.223
In 0.201 0.442 0.777
In 0.299 0.942 0.277
In 0.299 0.942 0.723
In 0.442 0.201 0.223
In 0.442 0.201 0.777
In 0.500 0.500 0.201
In 0.500 0.500 0.799
In 0.558 0.799 0.223
In 0.558 0.799 0.777
In 0.701 0.058 0.277
In 0.701 0.058 0.723
In 0.799 0.558 0.223
In 0.799 0.558 0.777
In 0.942 0.299 0.277
In 0.942 0.299 0.723
Ni 0.114 0.886 0.000
Ni 0.386 0.386 0.500
Ni 0.614 0.614 0.500
Ni 0.886 0.114 0.000

The 10 most intense peaks (10° ≤ 2θ ≤ 80°), low angle first:
25.1 deg, rel. 26
27.8 deg, rel. 28
30.8 deg, rel. 28
32.0 deg, rel. 41
35.6 deg, rel. 34
36.5 deg, rel. 100
37.6 deg, rel. 47
37.8 deg, rel. 94
40.9 deg, rel. 54
64.8 deg, rel. 26

---

Entry 7:
The following is a theoretical powder X-ray diffraction pattern of Cu2SiHgTe2S2. It was derived from a DFT-relaxed cell (PBE, OQMD), using Cu Ka.
Peak positions follow from Bragg's law for the DFT cell and can differ from measured ones.

Structure:
a = 6.930 Å, b = 6.919 Å, c = 5.896 Å
α = 64.90°, β = 64.71°, γ = 50.39°
Sites, in units of the cell vectors:
Cu 0.000 0.000 0.500
Cu 0.500 0.500 0.000
Si 0.205 0.205 0.795
Hg 0.726 0.726 0.274
Te 0.139 0.584 0.416
Te 0.584 0.139 0.861
S 0.306 0.879 0.694
S 0.879 0.306 0.121

The 10 most intense peaks (10° ≤ 2θ ≤ 80°), low angle first:
17.0 deg, rel. 21
21.4 deg, rel. 16
26.8 deg, rel. 100
28.6 deg, rel. 18
34.5 deg, rel. 15
34.9 deg, rel. 16
43.5 deg, rel. 13
45.0 deg, rel. 44
51.7 deg, rel. 14
51.8 deg, rel. 15

---

Entry 8:
The following is a theoretical powder X-ray diffraction pattern of LaPrGe2Ir. It was derived from a DFT-relaxed cell (PBE, OQMD), using Cu Ka.
Peak positions follow from Bragg's law for the DFT cell and can differ from measured ones.

Structure:
a = 6.025 Å, b = 6.025 Å, c = 11.322 Å
α = 116.84°, β = 116.84°, γ = 41.98°
Sites, in units of the cell vectors:
La 0.098 0.098 0.392
La 0.902 0.902 0.608
Pr 0.294 0.294 0.856
Pr 0.706 0.706 0.144
Ge 0.048 0.048 0.919
Ge 0.383 0.383 0.383
Ge 0.617 0.617 0.617
Ge 0.952 0.952 0.081
Ir 0.444 0.444 0.193
Ir 0.556 0.556 0.807

The 10 most intense peaks (10° ≤ 2θ ≤ 80°), low angle first:
31.6 deg, rel. 100
31.8 deg, rel. 71
31.9 deg, rel. 78
38.9 deg, rel. 25
39.3 deg, rel. 62
41.9 deg, rel. 74
45.6 deg, rel. 27
53.5 deg, rel. 22
60.7 deg, rel. 21
61.7 deg, rel. 28

---

Entry 9:
The following is a theoretical powder X-ray diffraction pattern of Ba4Tb2Cd3S10. It was derived from a DFT-relaxed cell (PBE, OQMD), using Cu Ka.
Peak positions follow from Bragg's law for the DFT cell and can differ from measured ones.

Structure:
a = 9.298 Å, b = 9.298 Å, c = 26.864 Å
α = 90.00°, β = 90.00°, γ = 154.01°
Sites, in units of the cell vectors:
Ba 0.076 0.924 0.500
Ba 0.096 0.904 0.683
Ba 0.338 0.662 0.455
Ba 0.339 0.661 0.734
Ba 0.661 0.339 0.234
Ba 0.662 0.338 0.955
Ba 0.904 0.096 0.183
Ba 0.924 0.076 0.000
Tb 0.003 0.997 0.844
Tb 0.421 0.579 0.597
Tb 0.579 0.421 0.097
Tb 0.997 0.003 0.344
Cd 0.281 0.719 0.075
Cd 0.339 0.661 0.306
Cd 0.345 0.655 0.888
Cd 0.655 0.345 0.388
Cd 0.661 0.339 0.806
Cd 0.719 0.281 0.575
S 0.076 0.924 0.165
S 0.090 0.910 0.028
S 0.150 0.850 0.333
S 0.155 0.845 0.863
S 0.269 0.731 0.612
S 0.287 0.713 0.222
S 0.292 0.708 0.975
S 0.427 0.573 0.091
S 0.484 0.516 0.277
S 0.489 0.511 0.915
S 0.511 0.489 0.415
S 0.516 0.484 0.777
S 0.573 0.427 0.591
S 0.708 0.292 0.475
S 0.713 0.287 0.722
S 0.731 0.269 0.112
S 0.845 0.155 0.363
S 0.850 0.150 0.833
S 0.910 0.090 0.528
S 0.924 0.076 0.665

The 10 most intense peaks (10° ≤ 2θ ≤ 80°), low angle first:
25.2 deg, rel. 38
25.7 deg, rel. 28
25.9 deg, rel. 43
26.1 deg, rel. 32
27.5 deg, rel. 27
29.6 deg, rel. 100
30.3 deg, rel. 61
35.4 deg, rel. 25
43.3 deg, rel. 62
53.8 deg, rel. 25

---

Entry 10:
The following is a theoretical powder X-ray diffraction pattern of MoH4. It was derived from a DFT-relaxed cell (PBE, OQMD), using Cu Ka.
Peak positions follow from Bragg's law for the DFT cell and can differ from measured ones.

Structure:
a = 2.770 Å, b = 2.742 Å, c = 4.750 Å
α = 90.00°, β = 105.82°, γ = 90.00°
Sites, in units of the cell vectors:
Mo 0.000 0.000 0.000
H 0.129 0.500 0.278
H 0.372 0.000 0.725
H 0.628 0.000 0.275
H 0.871 0.500 0.722

The 10 most intense peaks (10° ≤ 2θ ≤ 80°), low angle first:
19.4 deg, rel. 100
32.7 deg, rel. 28
33.6 deg, rel. 25
34.0 deg, rel. 25
38.3 deg, rel. 35
39.4 deg, rel. 15
47.6 deg, rel. 17
47.9 deg, rel. 17
52.1 deg, rel. 14
55.6 deg, rel. 12

---

Entry 11:
The following is a theoretical powder X-ray diffraction pattern of NdAl5CuPd. It was derived from a DFT-relaxed cell (PBE, OQMD), using Cu Ka.
Peak positions follow from Bragg's law for the DFT cell and can differ from measured ones.

Structure:
a = 6.408 Å, b = 6.408 Å, c = 6.408 Å
α = 143.26°, β = 111.13°, γ = 80.68°
Sites, in units of the cell vectors:
Nd 0.000 0.000 0.000
Al 0.167 0.356 0.810
Al 0.469 0.656 0.813
Al 0.512 0.012 0.500
Al 0.546 0.356 0.190
Al 0.844 0.656 0.187
Cu 0.756 0.256 0.500
Pd 0.263 0.763 0.500

The 10 most intense peaks (10° ≤ 2θ ≤ 80°), low angle first:
15.2 deg, rel. 29
24.6 deg, rel. 43
30.1 deg, rel. 22
31.3 deg, rel. 100
34.5 deg, rel. 50
35.4 deg, rel. 30
44.8 deg, rel. 39
44.9 deg, rel. 24
47.7 deg, rel. 44
65.2 deg, rel. 24

---

Copy entry 2 word for word.
The following is a theoretical powder X-ray diffraction pattern of Tl3NiS. It was derived from a DFT-relaxed cell (PBE, OQMD), using Cu Ka.
Peak positions follow from Bragg's law for the DFT cell and can differ from measured ones.

Structure:
a = 6.464 Å, b = 6.464 Å, c = 6.913 Å
α = 90.00°, β = 90.00°, γ = 120.00°
Sites, in units of the cell vectors:
Tl 0.036 0.344 0.250
Tl 0.036 0.692 0.750
Tl 0.308 0.344 0.750
Tl 0.308 0.964 0.250
Tl 0.656 0.692 0.250
Tl 0.656 0.964 0.750
Ni 0.000 0.000 0.000
Ni 0.000 0.000 0.500
S 0.667 0.333 0.000
S 0.667 0.333 0.500

The 10 most intense peaks (10° ≤ 2θ ≤ 80°), low angle first:
25.8 deg, rel. 26
27.6 deg, rel. 9
30.5 deg, rel. 100
38.1 deg, rel. 34
48.5 deg, rel. 28
48.8 deg, rel. 22
56.0 deg, rel. 14
58.7 deg, rel. 13
74.9 deg, rel. 12
79.7 deg, rel. 10